No. 1
Dy3Er: computed PXRD pattern (Cu Kα (λ = 1.5418 Å)), based on a structure optimized by DFT (GGA-PBE).
Kinematic intensities with the Lorentz-polarization factor, no thermal factor.

Top 8 peaks for 2θ = 10–90°, by intensity:
2θ 31.03, d 2.882, I 100, (1 1 1)
2θ 35.98, d 2.496, I 51, (2 0 0)
2θ 61.62, d 1.505, I 43, (3 1 1)
2θ 51.80, d 1.765, I 36, (2 2 0)
2θ 84.62, d 1.145, I 18, (3 3 1)
2θ 87.36, d 1.116, I 17, (4 2 0)
2θ 64.68, d 1.441, I 12, (2 2 2)
2θ 76.30, d 1.248, I 6, (4 0 0)

Cell and atoms:
```
data_Dy3Er
_cell_length_a 4.992
_cell_length_b 4.992
_cell_length_c 4.992
_cell_angle_alpha 90.00
_cell_angle_beta 90.00
_cell_angle_gamma 90.00
_space_group_name_H-M_alt 'P m -3 m'
_space_group_IT_number 221
_space_group_name_Hall '-P 4 2 3'
loop_
_atom_site_label
_atom_site_type_symbol
_atom_site_fract_x
_atom_site_fract_y
_atom_site_fract_z
Dy1 Dy 0.000 0.000 0.500
Er1 Er 0.500 0.500 0.500
```

No. 2
Y12Os5C15: computed PXRD pattern (Cu Kα (λ = 1.5418 Å)), based on a structure optimized by DFT (GGA-PBE).
Kinematic intensities with the Lorentz-polarization factor, no thermal factor.

Top 10 peaks for 2θ = 10–90°, by intensity:
2θ 30.91, d 2.893, I 100, (2 1 1)
2θ 34.77, d 2.580, I 55, (3 1 0)
2θ 35.27, d 2.545, I 46, (0 0 2)
2θ 19.89, d 4.465, I 39, (1 0 1)
2θ 50.37, d 1.812, I 37, (3 1 2)
2θ 37.88, d 2.375, I 36, (2 2 1)
2θ 33.85, d 2.648, I 34, (3 0 1)
2θ 16.51, d 5.370, I 21, (1 1 0)
2θ 60.59, d 1.528, I 20, (2 1 3)
2θ 39.16, d 2.301, I 20, (3 1 1)

Cell and atoms:
```
data_Y12Os5C15
_cell_length_a 10.7408
_cell_length_b 10.7408
_cell_length_c 5.0893
_cell_angle_alpha 90.00
_cell_angle_beta 90.00
_cell_angle_gamma 120.00
_space_group_name_H-M_alt 'P -6 2 m'
_space_group_IT_number 189
_space_group_name_Hall 'P -6 -2'
loop_
_atom_site_label
_atom_site_type_symbol
_atom_site_fract_x
_atom_site_fract_y
_atom_site_fract_z
Y1 Y 0.0000 0.4341 0.0000
Y2 Y 0.0000 0.7933 0.0000
Y3 Y 0.1835 0.7272 0.5000
Os1 Os 0.0000 0.1613 0.5000
Os2 Os 0.3333 0.6667 0.0000
C1 C 0.0000 0.3360 0.5000
C2 C 0.0000 0.4609 0.5000
C3 C 0.0000 0.7930 0.5000
C4 C 0.1852 0.7168 0.0000
```